For KSn3Au, a crystal structure in Alexandria, relaxed with PBE gives the computed powder X-ray diffraction pattern in this record (λ = 1.5418 Å (Cu Kα)).

Atomic structure:
```
data_KSn3Au
_symmetry_space_group_name_H-M 'C 1 m 1'
_symmetry_Int_Tables_number 8
_cell_length_a 6.968
_cell_length_b 6.972
_cell_length_c 6.924
_cell_angle_alpha 90.00
_cell_angle_beta 120.10
_cell_angle_gamma 90.00
loop_
_symmetry_equiv_pos_as_xyz
'x,y,z'
'x,-y,z'
'x+1/2,y+1/2,z'
'x+1/2,-y+1/2,z'
loop_
_atom_site_label
_atom_site_type_symbol
_atom_site_fract_x
_atom_site_fract_y
_atom_site_fract_z
K1 K 0.000 0.000 0.000
Sn1 Sn 0.008 0.250 0.517
Sn2 Sn 0.105 0.500 0.210
Au1 Au 0.375 0.000 0.752
```

Principal peaks in the range 15° ≤ 2θ ≤ 90°, in order of falling intensity:
- 39.68°, I = 100, hkl 2 0 1
- 19.47°, I = 96, hkl 1 1 -1
- 36.46°, I = 90, hkl 2 2 -1
- 29.66°, I = 87, hkl 2 0 -2
- 28.77°, I = 49, hkl 1 1 1
- 41.92°, I = 36, hkl 1 1 2
- 67.76°, I = 33, hkl 4 2 0
- 52.52°, I = 32, hkl 0 4 0
- 41.66°, I = 30, hkl 1 3 0
- 47.09°, I = 25, hkl 3 1 0


For Sm4YTm10, a crystal structure in Alexandria, relaxed with PBE gives the computed powder X-ray diffraction pattern in this record (λ = 1.5418 Å (Cu Kα)).

Atomic structure:
```
data_Sm4YTm10
_symmetry_space_group_name_H-M 'I 4/m'
_symmetry_Int_Tables_number 87
_symmetry_space_group_name_Hall '-I 4'
_cell_length_a 12.114
_cell_length_b 12.114
_cell_length_c 7.648
_cell_angle_alpha 90.00
_cell_angle_beta 90.00
_cell_angle_gamma 90.00
loop_
_atom_site_label
_atom_site_type_symbol
_atom_site_fract_x
_atom_site_fract_y
_atom_site_fract_z
Sm1 Sm 0.101 0.701 0.000
Y1 Y 0.000 0.000 0.500
Tm1 Tm 0.000 0.500 0.250
Tm2 Tm 0.099 0.200 0.250
```

Principal peaks in the range 15° ≤ 2θ ≤ 90°, in order of falling intensity:
- 33.09°, I = 100, hkl 3 1 2
- 59.11°, I = 38, hkl 5 5 2
- 23.23°, I = 21, hkl 3 1 0
- 20.09°, I = 20, hkl 1 2 1
- 47.50°, I = 18, hkl 6 2 0
- 69.43°, I = 12, hkl 6 2 4
- 79.05°, I = 11, hkl 10 0 0
- 39.01°, I = 11, hkl 5 0 1
- 53.52°, I = 9, hkl 6 2 2
- 40.82°, I = 7, hkl 2 4 2


For SrMgCuRh, a crystal structure in Alexandria, relaxed with PBE gives the computed powder X-ray diffraction pattern in this record (λ = 1.5418 Å (Cu Kα)).

Atomic structure:
```
data_SrMgCuRh
_symmetry_space_group_name_H-M 'C 1 m 1'
_symmetry_Int_Tables_number 8
_cell_length_a 7.798
_cell_length_b 4.503
_cell_length_c 5.856
_cell_angle_alpha 90.00
_cell_angle_beta 116.27
_cell_angle_gamma 90.00
loop_
_symmetry_equiv_pos_as_xyz
'x,y,z'
'x,-y,z'
'x+1/2,y+1/2,z'
'x+1/2,-y+1/2,z'
loop_
_atom_site_label
_atom_site_type_symbol
_atom_site_fract_x
_atom_site_fract_y
_atom_site_fract_z
Sr1 Sr 0.000 0.000 0.000
Mg1 Mg 0.004 0.500 0.511
Cu1 Cu 0.311 0.500 0.432
Rh1 Rh 0.193 0.000 0.576
```

Principal peaks in the range 15° ≤ 2θ ≤ 90°, in order of falling intensity:
- 40.05°, I = 100, hkl 0 2 0
- 23.50°, I = 83, hkl 2 0 -1
- 36.67°, I = 82, hkl 2 0 1
- 53.63°, I = 50, hkl 3 1 1
- 32.31°, I = 39, hkl 1 1 1
- 16.88°, I = 35, hkl 0 0 1
- 34.15°, I = 31, hkl 0 0 2
- 55.42°, I = 24, hkl 2 2 1
- 70.55°, I = 23, hkl 5 1 0
- 63.71°, I = 20, hkl 1 1 3